This entry pairs a crystal structure of P2W2O11 with its simulated powder X-ray diffraction pattern. Radiation: CuKα. Structure: a cell relaxed with PBE+U.

Crystal structure
a b c (Å): 7.9935 12.7468 8.0276
angles (deg): 90.00 92.59 90.00
Fractional positions:
P (0.0722, 0.2500, 0.3424)
P (0.2495, 0.7500, 0.1083)
P (0.2516, 0.0035, 0.6159)
P (0.2516, 0.4965, 0.6159)
P (0.7484, 0.5035, 0.3841)
P (0.7484, 0.9965, 0.3841)
P (0.7505, 0.2500, 0.8917)
P (0.9278, 0.7500, 0.6576)
W (0.1486, 0.0018, 0.1939)
W (0.1486, 0.4982, 0.1939)
W (0.3614, 0.7500, 0.6979)
W (0.3645, 0.2500, 0.6865)
W (0.6355, 0.7500, 0.3135)
W (0.6386, 0.2500, 0.3021)
W (0.8514, 0.5018, 0.8061)
W (0.8514, 0.9982, 0.8061)
O (0.0000, 0.0000, 0.0000)
O (0.0000, 0.5000, 0.0000)
O (0.0777, 0.0257, 0.6735)
O (0.0777, 0.4743, 0.6735)
O (0.1038, 0.1520, 0.2342)
O (0.1038, 0.3480, 0.2342)
O (0.1042, 0.7500, 0.5950)
O (0.1650, 0.6538, 0.1861)
O (0.1650, 0.8462, 0.1861)
O (0.2037, 0.2500, 0.4900)
O (0.2151, 0.2500, 0.8359)
O (0.2255, 0.7500, 0.9192)
O (0.2541, 0.5076, 0.4234)
O (0.2541, 0.9924, 0.4234)
O (0.3321, 0.0233, 0.0935)
O (0.3321, 0.4767, 0.0935)
O (0.3316, 0.5946, 0.6980)
O (0.3316, 0.9054, 0.6980)
O (0.3735, 0.0959, 0.6618)
O (0.3735, 0.4041, 0.6618)
O (0.4403, 0.7500, 0.1570)
O (0.4434, 0.7500, 0.4888)
O (0.4527, 0.2500, 0.1827)
O (0.5473, 0.7500, 0.8173)
O (0.5566, 0.2500, 0.5112)
O (0.5597, 0.2500, 0.8430)
O (0.6265, 0.5959, 0.3382)
O (0.6265, 0.9041, 0.3382)
O (0.6684, 0.0946, 0.3020)
O (0.6684, 0.4054, 0.3020)
O (0.6679, 0.5233, 0.9065)
O (0.6679, 0.9767, 0.9065)
O (0.7459, 0.0076, 0.5766)
O (0.7459, 0.4924, 0.5766)
O (0.7745, 0.2500, 0.0808)
O (0.7849, 0.7500, 0.1641)
O (0.7963, 0.7500, 0.5100)
O (0.8350, 0.1538, 0.8139)
O (0.8350, 0.3462, 0.8139)
O (0.8958, 0.2500, 0.4050)
O (0.8962, 0.6520, 0.7658)
O (0.8962, 0.8480, 0.7658)
O (0.9223, 0.5257, 0.3265)
O (0.9223, 0.9743, 0.3265)

Peak list (8 most intense, 10° ≤ 2θ ≤ 90°, sorted by position)
- 2θ = 17.80°, I = 100, (1 2 0)
- 2θ = 20.72°, I = 66, (1 2 -1)
- 2θ = 21.26°, I = 55, (1 2 1)
- 2θ = 22.19°, I = 56, (0 0 2)
- 2θ = 24.43°, I = 82, (2 0 -1)
- 2θ = 25.34°, I = 75, (2 0 1)
- 2θ = 28.00°, I = 70, (0 4 0)
- 2θ = 37.49°, I = 31, (2 4 -1)